Diffraction record for SiAsC2. The X-ray diffraction stick pattern is simulated, not measured: it uses DFT lattice parameters and positions (PBE) and Cu Kα X-rays.
Intensities are scaled so that the largest is 100.

Structure:
```
data_SiAsC2
_space_group_name_H-M_alt 'P 3 m 1'
_space_group_IT_number 156
_cell_length_a 3.1310
_cell_length_b 3.1310
_cell_length_c 5.3563
_cell_angle_alpha 90.00
_cell_angle_beta 90.00
_cell_angle_gamma 120.00
loop_
_space_group_symop_operation_xyz
'x,y,z'
'-y,x-y,z'
'-x+y,-x,z'
'-y,-x,z'
'-x+y,y,z'
'x,x-y,z'
loop_
_atom_site_label
_atom_site_fract_x
_atom_site_fract_y
_atom_site_fract_z
Si1 0.0000 0.0000 0.0000
As1 0.6667 0.3333 0.5963
C1 0.3333 0.6667 0.1337
C2 0.3333 0.6667 0.4168
```

Most intense lines, 2θ from 15° to 90°, by intensity:
d [Å], intensity
2.419, 100
1.905, 30
5.356, 28
2.678, 22
2.711, 21
1.565, 20
1.491, 18
1.352, 15
1.314, 14
1.201, 10